The following is a computed powder diffractogram of PuCoOsO6. It was derived from a cell relaxed with GGA+U, using Cu Kα, 1.54184 Å.

Crystal structure
Unit cell a=5.2029 b=5.2029 c=9.0144 alpha=90.00 beta=90.00 gamma=120.00
Space group P-31c (No. 163)
Asymmetric unit:
1 Pu 0.3333 0.6667 0.2500 [2 per cell]
2 Co 0.3333 0.6667 0.7500 [2 per cell]
3 Os 0.0000 0.0000 0.0000 [2 per cell]
4 O 0.0129 0.3189 0.6219 [12 per cell]

The 8 most intense peaks (5° ≤ 2θ ≤ 70°), most intense first:
2θ = 28.00°, I 100
2θ = 34.48°, I 49
2θ = 53.82°, I 41
2θ = 22.05°, I 33
2θ = 44.98°, I 28
2θ = 57.88°, I 27
2θ = 40.01°, I 15
2θ = 61.76°, I 15